Starting from the GGA+U geometry in Alexandria, the powder diffractogram of Li3Fe4P6O24 was simulated for CuKα.
Peak positions follow from Bragg's law for the DFT cell and can differ from measured ones.

Structure:
a b c (Å): 8.696 8.701 8.714
angles (deg): 119.35 119.65 90.67
Space group P1 (No. 1)
One atom of each set of equivalent atoms:
Li 0.000 0.000 0.000 [1 per cell]
Li 0.118 0.643 0.725 [1 per cell]
Li 0.563 0.334 0.865 [1 per cell]
Fe 0.130 0.182 0.575 [1 per cell]
Fe 0.484 0.964 0.154 [1 per cell]
Fe 0.633 0.680 0.571 [1 per cell]
Fe 0.989 0.461 0.149 [1 per cell]
P 0.308 0.858 0.649 [1 per cell]
P 0.309 0.280 0.363 [1 per cell]
P 0.320 0.565 0.073 [1 per cell]
P 0.799 0.080 0.652 [1 per cell]
P 0.809 0.364 0.362 [1 per cell]
P 0.809 0.785 0.075 [1 per cell]
O 0.002 0.352 0.501 [1 per cell]
O 0.115 0.291 0.223 [1 per cell]
O 0.132 0.689 0.444 [1 per cell]
O 0.150 0.511 0.071 [1 per cell]
O 0.296 0.717 0.025 [1 per cell]
O 0.299 0.086 0.195 [1 per cell]
O 0.301 0.045 0.672 [1 per cell]
O 0.313 0.872 0.836 [1 per cell]
O 0.324 0.400 0.890 [1 per cell]
O 0.326 0.269 0.544 [1 per cell]
O 0.474 0.444 0.469 [1 per cell]
O 0.484 0.829 0.656 [1 per cell]
O 0.504 0.632 0.286 [1 per cell]
O 0.615 0.012 0.439 [1 per cell]
O 0.633 0.815 0.068 [1 per cell]
O 0.643 0.200 0.255 [1 per cell]
O 0.793 0.376 0.182 [1 per cell]
O 0.795 0.246 0.834 [1 per cell]
O 0.804 0.771 0.888 [1 per cell]
O 0.813 0.597 0.051 [1 per cell]
O 0.820 0.558 0.530 [1 per cell]
O 0.822 0.928 0.701 [1 per cell]
O 0.968 0.133 0.654 [1 per cell]
O 0.985 0.953 0.280 [1 per cell]

Main lines, in order of rising 2θ (10° ≤ 2θ ≤ 90°):
2theta	d [Å]	I (rel.)	index
14.28	6.202	33	1 -1 0
20.26	4.383	33	1 -1 1
20.40	4.354	100	2 0 -1
23.78	3.742	52	0 1 -2
23.87	3.728	57	-2 1 1
24.06	3.698	55	2 1 -2
28.71	3.110	21	0 0 2
28.86	3.093	23	2 -2 0
32.28	2.773	21	1 -1 2
35.53	2.527	19	1 -3 0